(1)
Calculated powder XRD pattern of K2UF6 for a wavelength of 1.5418 Å, from the PBE geometry in the Materials Project.

Atomic structure:
a = 6.6643 Å, b = 6.6643 Å, c = 3.7458 Å
α = 90.00°, β = 90.00°, γ = 120.00°
Fractional coordinates of all 9 atoms:
K: 0.3333 0.6667 0.0000
K: 0.6667 0.3333 0.0000
U: 0.0000 0.0000 0.5000
F: 0.0000 0.3410 0.5000
F: 0.0000 0.7743 0.0000
F: 0.2257 0.2257 0.0000
F: 0.3410 0.0000 0.5000
F: 0.6590 0.6590 0.5000
F: 0.7743 0.0000 0.0000

Top 6 peaks for 5 to 70 degrees two-theta, by angle:
Position (°2θ)	I_rel
15.35	100.0
26.75	45.2
28.41	62.9
39.42	38.3
47.25	18.0
48.28	44.2

***

(2)
Calculated powder XRD pattern of ZrSnIr for a wavelength of 1.5418 Å, from the PBE geometry in the Materials Project.

Atomic structure:
a = 7.3759 Å, b = 7.3759 Å, c = 3.7499 Å
α = 90.00°, β = 90.00°, γ = 120.00°
Fractional coordinates of all 9 atoms:
Zr: 0.0000 0.6049 0.0000
Zr: 0.3951 0.3951 0.0000
Zr: 0.6049 0.0000 0.0000
Sn: 0.0000 0.2670 0.5000
Sn: 0.2670 0.0000 0.5000
Sn: 0.7330 0.7330 0.5000
Ir: 0.0000 0.0000 0.0000
Ir: 0.3333 0.6667 0.5000
Ir: 0.6667 0.3333 0.5000

Top 6 peaks for 5 to 70 degrees two-theta, by angle:
Position (°2θ)	I_rel
34.10	77.9
36.97	100.0
42.45	73.7
44.64	64.8
66.44	39.5
68.78	41.9

***

(3)
Calculated powder XRD pattern of In2AsP for a wavelength of 1.5418 Å, from the PBE geometry in the Materials Project.

Atomic structure:
a = 4.3048 Å, b = 4.3048 Å, c = 6.0649 Å
α = 90.00°, β = 90.00°, γ = 90.00°
Fractional coordinates of all 4 atoms:
In: 0.0000 0.5000 0.2421
In: 0.5000 0.0000 0.7579
As: 0.0000 0.0000 0.5000
P: 0.5000 0.5000 0.0000

Top 6 peaks for 5 to 70 degrees two-theta, by angle:
Position (°2θ)	I_rel
25.37	100.0
29.34	8.1
42.03	67.1
49.69	30.9
49.83	15.0
67.14	12.0

***

(4)
Calculated powder XRD pattern of Ga3B for a wavelength of 1.5418 Å, from the PBE geometry in the Materials Project.

Atomic structure:
a = 7.0633 Å, b = 7.0633 Å, c = 3.1654 Å
α = 90.00°, β = 90.00°, γ = 120.00°
Fractional coordinates of all 8 atoms:
Ga: 0.1956 0.3912 0.2500
Ga: 0.1956 0.8044 0.2500
Ga: 0.3912 0.1956 0.7500
Ga: 0.6088 0.8044 0.2500
Ga: 0.8044 0.1956 0.7500
Ga: 0.8044 0.6088 0.7500
B: 0.3333 0.6667 0.7500
B: 0.6667 0.3333 0.2500

Top 6 peaks for 5 to 70 degrees two-theta, by angle:
Position (°2θ)	I_rel
29.20	46.2
31.83	49.4
38.96	46.5
41.04	100.0
51.77	18.7
53.45	30.8

***

(5)
Calculated powder XRD pattern of HgS for a wavelength of 1.5418 Å, from the PBE geometry in the Materials Project.

Atomic structure:
a = 4.2478 Å, b = 4.2478 Å, c = 4.2478 Å
α = 60.00°, β = 60.00°, γ = 60.00°
Fractional coordinates of all 2 atoms:
Hg: 0.0000 0.0000 0.0000
S: 0.2500 0.2500 0.2500

Top 6 peaks for 5 to 70 degrees two-theta, by angle:
Position (°2θ)	I_rel
25.69	100.0
29.74	34.9
42.57	52.4
50.38	49.4
52.79	10.1
68.03	20.4

***

(6)
Calculated powder XRD pattern of Sr7SnN6 for a wavelength of 1.5418 Å, from the PBE geometry in the Materials Project.

Atomic structure:
a = 11.9870 Å, b = 6.7200 Å, c = 14.1051 Å
α = 90.00°, β = 90.00°, γ = 90.00°
Fractional coordinates of all 56 atoms:
Sr: 0.0000 0.0532 0.2500
Sr: 0.0000 0.9468 0.7500
Sr: 0.0357 0.2292 0.5183
Sr: 0.0357 0.7708 0.0183
Sr: 0.2123 0.3964 0.1163
Sr: 0.2123 0.6036 0.6163
Sr: 0.2320 0.3419 0.8719
Sr: 0.2320 0.6581 0.3719
Sr: 0.2680 0.1581 0.3719
Sr: 0.2680 0.8419 0.8719
Sr: 0.2877 0.1036 0.6163
Sr: 0.2877 0.8964 0.1163
Sr: 0.4643 0.2708 0.0183
Sr: 0.4643 0.7292 0.5183
Sr: 0.5000 0.4468 0.7500
Sr: 0.5000 0.5532 0.2500
Sr: 0.5357 0.2708 0.4817
Sr: 0.5357 0.7292 0.9817
Sr: 0.7123 0.1036 0.8837
Sr: 0.7123 0.8964 0.3837
Sr: 0.7320 0.1581 0.1281
Sr: 0.7320 0.8419 0.6281
Sr: 0.7680 0.3419 0.6281
Sr: 0.7680 0.6581 0.1281
Sr: 0.7877 0.3964 0.3837
Sr: 0.7877 0.6036 0.8837
Sr: 0.9643 0.2292 0.9817
Sr: 0.9643 0.7708 0.4817
Sn: 0.0000 0.4443 0.7500
Sn: 0.0000 0.5557 0.2500
Sn: 0.5000 0.0557 0.2500
Sn: 0.5000 0.9443 0.7500
N: 0.0679 0.3695 0.3557
N: 0.0679 0.6305 0.8557
N: 0.1305 0.2562 0.6999
N: 0.1305 0.7438 0.1999
N: 0.1630 0.0933 0.9948
N: 0.1630 0.9067 0.4948
N: 0.3370 0.4067 0.4948
N: 0.3370 0.5933 0.9948
N: 0.3695 0.2438 0.1999
N: 0.3695 0.7562 0.6999
N: 0.4321 0.1305 0.8557
N: 0.4321 0.8695 0.3557
N: 0.5679 0.1305 0.6443
N: 0.5679 0.8695 0.1443
N: 0.6305 0.2438 0.3001
N: 0.6305 0.7562 0.8001
N: 0.6630 0.4067 0.0052
N: 0.6630 0.5933 0.5052
N: 0.8370 0.0933 0.5052
N: 0.8370 0.9067 0.0052
N: 0.8695 0.2562 0.8001
N: 0.8695 0.7438 0.3001
N: 0.9321 0.3695 0.1443
N: 0.9321 0.6305 0.6443

Top 6 peaks for 5 to 70 degrees two-theta, by angle:
Position (°2θ)	I_rel
28.30	20.2
29.40	100.0
29.81	27.4
33.10	31.0
33.35	20.8
33.63	13.2

***

(7)
Calculated powder XRD pattern of Mg2VCo3S8 for a wavelength of 1.5418 Å, from the PBE geometry in the Materials Project.

Atomic structure:
a = 7.0107 Å, b = 7.0107 Å, c = 7.0000 Å
α = 119.64°, β = 119.64°, γ = 60.28°
Fractional coordinates of all 14 atoms:
Mg: 0.1244 0.1244 0.3754
Mg: 0.8756 0.8756 0.6246
V: 0.5000 0.5000 0.0000
Co: 0.0000 0.5000 0.0000
Co: 0.5000 0.0000 0.0000
Co: 0.5000 0.5000 0.5000
S: 0.2591 0.2591 0.7978
S: 0.2590 0.7022 0.2407
S: 0.2690 0.2690 0.2311
S: 0.2978 0.7410 0.7593
S: 0.7022 0.2590 0.2407
S: 0.7310 0.7310 0.7689
S: 0.7410 0.2978 0.7593
S: 0.7409 0.7409 0.2022

Top 6 peaks for 5 to 70 degrees two-theta, by angle:
Position (°2θ)	I_rel
15.42	62.8
15.53	41.7
29.79	57.4
36.17	100.0
51.94	48.4
52.22	42.6

***

(8)
Calculated powder XRD pattern of NaZrP2O8 for a wavelength of 1.5418 Å, from the PBE geometry in the Materials Project.

Atomic structure:
a = 9.0380 Å, b = 5.4477 Å, c = 16.4262 Å
α = 90.00°, β = 116.00°, γ = 90.00°
Fractional coordinates of all 48 atoms:
Na: 0.0000 0.0340 0.2500
Na: 0.0000 0.9660 0.7500
Na: 0.5000 0.1640 0.7500
Na: 0.5000 0.8360 0.2500
Zr: 0.2547 0.2337 0.5127
Zr: 0.2547 0.7663 0.0127
Zr: 0.7453 0.2337 0.9873
Zr: 0.7453 0.7663 0.4873
P: 0.1770 0.2741 0.1211
P: 0.1770 0.7259 0.6211
P: 0.3028 0.2595 0.8865
P: 0.3028 0.7405 0.3865
P: 0.6972 0.2595 0.6135
P: 0.6972 0.7405 0.1135
P: 0.8230 0.2741 0.3789
P: 0.8230 0.7259 0.8789
O: 0.0031 0.2740 0.4532
O: 0.0031 0.7260 0.9532
O: 0.1869 0.2619 0.2170
O: 0.1869 0.7381 0.7170
O: 0.2148 0.2747 0.7823
O: 0.2148 0.7253 0.2823
O: 0.2274 0.0421 0.9173
O: 0.2274 0.9579 0.4173
O: 0.2635 0.0392 0.1093
O: 0.2635 0.9608 0.6093
O: 0.2676 0.4957 0.6110
O: 0.2676 0.5043 0.1110
O: 0.2801 0.4968 0.9308
O: 0.2801 0.5032 0.4308
O: 0.4884 0.2085 0.9172
O: 0.4884 0.7915 0.4172
O: 0.5117 0.2085 0.5828
O: 0.5117 0.7915 0.0828
O: 0.7199 0.4968 0.5692
O: 0.7199 0.5032 0.0692
O: 0.7324 0.4957 0.8890
O: 0.7324 0.5043 0.3890
O: 0.7365 0.0392 0.3907
O: 0.7365 0.9608 0.8907
O: 0.7726 0.0421 0.5827
O: 0.7726 0.9579 0.0827
O: 0.7852 0.2747 0.7177
O: 0.7852 0.7253 0.2177
O: 0.8131 0.2619 0.2830
O: 0.8131 0.7381 0.7830
O: 0.9969 0.2740 0.0468
O: 0.9969 0.7260 0.5468

Top 6 peaks for 5 to 70 degrees two-theta, by angle:
Position (°2θ)	I_rel
11.99	60.5
19.06	31.0
21.88	55.5
23.23	100.0
31.89	27.3
34.21	21.1